Calculated X-ray powder pattern of YAlZn for Cu Ka, from a crystal structure in Alexandria, relaxed with GGA-PBE.
Intensities are scaled so that the largest is 100.

Crystal structure
```
12
Lattice="4.510 0.000 0.000 0.000 7.690 0.000 0.000 0.000 7.193" Properties=species:S:1:pos:R:3 pbc="T T T"
Y 1.127 1.701 0.000
Y 1.127 2.144 3.597
Y 3.382 5.546 3.597
Y 3.382 5.989 0.000
Al 1.127 4.534 5.645
Al 1.127 7.001 2.048
Al 3.382 0.689 2.048
Al 3.382 3.156 5.645
Zn 1.127 4.470 1.474
Zn 1.127 7.065 5.070
Zn 3.382 0.625 5.070
Zn 3.382 3.220 1.474
```

The 10 most intense peaks (2θ from 15° to 90°), in order of rising 2θ:
2θ (°), d [Å], intensity
16.88, 5.253, 22
22.86, 3.890, 13
33.05, 2.710, 26
33.95, 2.641, 100
34.14, 2.627, 46
39.36, 2.289, 12
39.98, 2.255, 32
40.48, 2.228, 54
53.56, 1.711, 24
66.85, 1.399, 13


Calculated X-ray powder pattern of CeAgTeSe for Cu Ka, from a crystal structure in Alexandria, relaxed with GGA-PBE.
Intensities are scaled so that the largest is 100.

Crystal structure
```
8
Lattice="2.386 1.377 11.769 -2.386 1.377 11.769 0.000 -2.755 11.769" Properties=species:S:1:pos:R:3 pbc="T T T"
Ce 0.000 0.000 3.919
Ce 0.000 0.000 31.386
Ag 0.000 0.000 10.780
Ag 0.000 0.000 24.525
Te 0.000 0.000 13.692
Te 0.000 0.000 21.614
Se 0.000 0.000 6.955
Se 0.000 0.000 28.351
```

The 10 most intense peaks (2θ from 15° to 90°), in order of rising 2θ:
2θ (°), d [Å], intensity
22.09, 4.023, 22
23.78, 3.742, 71
30.38, 2.942, 18
33.38, 2.684, 98
37.71, 2.386, 100
41.97, 2.153, 23
49.17, 1.853, 28
51.23, 1.783, 29
65.33, 1.428, 27
68.07, 1.377, 17


Calculated X-ray powder pattern of Pm3Y5S8 for Cu Ka, from a crystal structure in Alexandria, relaxed with GGA-PBE.
Intensities are scaled so that the largest is 100.

Crystal structure
```
16
Lattice="3.955 2.283 6.498 -3.955 2.283 6.498 0.000 -4.567 6.498" Properties=species:S:1:pos:R:3 pbc="T T T"
Pm -1.977 -1.142 6.498
Pm -1.977 1.142 12.996
Pm 0.000 2.283 6.498
Y 0.000 0.000 0.000
Y -3.955 0.000 9.747
Y -1.977 1.142 3.249
Y 1.977 1.142 3.249
Y 0.000 0.000 9.747
S -2.008 -1.159 11.321
S 0.000 0.000 4.797
S 0.000 -2.318 8.173
S -2.008 1.159 8.173
S 2.008 -1.159 11.321
S 0.000 2.318 11.321
S 0.000 0.000 14.697
S 2.008 1.159 8.173
```

The 10 most intense peaks (2θ from 15° to 90°), in order of rising 2θ:
2θ (°), d [Å], intensity
27.45, 3.249, 14
27.61, 3.231, 42
31.94, 2.802, 100
45.69, 1.986, 35
45.89, 1.977, 35
54.34, 1.688, 20
57.00, 1.616, 18
75.78, 1.255, 15
76.07, 1.251, 15
84.81, 1.143, 12


Calculated X-ray powder pattern of Ca2AlH10IO8 for Cu Ka, from a crystal structure in Alexandria, relaxed with GGA-PBE.
Intensities are scaled so that the largest is 100.

Crystal structure
```
22
Lattice="5.819 0.000 0.000 -2.900 5.070 0.000 -0.080 -2.850 9.125" Properties=species:S:1:pos:R:3 pbc="T T T"
Ca 0.000 0.000 0.000
Ca 0.016 3.384 1.127
Al 2.918 1.696 0.564
H -2.787 2.964 6.127
H -0.375 2.255 7.763
H 0.176 2.553 4.097
H 1.348 1.064 2.469
H 2.373 -1.118 4.112
H 1.503 -0.106 7.785
H 2.288 1.585 6.147
H 4.208 0.602 2.483
H 3.159 3.365 2.470
H 4.391 -0.528 7.785
I 0.414 0.211 5.100
O 2.249 -2.696 8.686
O 1.290 1.433 1.570
O 0.114 3.402 3.604
O 1.803 0.127 8.681
O 3.949 0.411 1.566
O 2.929 2.137 6.652
O 4.466 -0.890 8.683
O 3.502 3.241 1.570
```

The 10 most intense peaks (2θ from 15° to 90°), in order of rising 2θ:
2θ (°), d [Å], intensity
17.79, 4.987, 70
19.46, 4.562, 100
21.52, 4.130, 58
21.64, 4.106, 58
22.45, 3.961, 51
30.63, 2.918, 76
30.73, 2.909, 31
35.71, 2.515, 36
37.49, 2.399, 29
38.27, 2.352, 30


Calculated X-ray powder pattern of Ni7Pt5 for Cu Ka, from a crystal structure in Alexandria, relaxed with GGA-PBE.
Intensities are scaled so that the largest is 100.

Crystal structure
```
12
Lattice="2.629 -3.760 0.000 2.629 3.760 0.000 0.000 0.000 8.004" Properties=species:S:1:pos:R:3 pbc="T T T"
Ni 0.000 0.000 0.000
Ni 0.000 0.000 2.721
Ni 0.000 0.000 5.283
Ni 1.315 1.880 4.021
Ni 1.315 1.880 6.638
Ni 1.315 -1.880 1.366
Ni 1.315 -1.880 3.982
Pt 1.315 1.880 1.358
Pt 1.315 -1.880 6.646
Pt 2.629 0.000 0.000
Pt 2.629 0.000 2.703
Pt 2.629 0.000 5.301
```

The 10 most intense peaks (2θ from 15° to 90°), in order of rising 2θ:
2θ (°), d [Å], intensity
20.61, 4.309, 40
23.44, 3.794, 20
39.74, 2.268, 16
41.50, 2.176, 100
41.93, 2.155, 93
48.41, 1.880, 31
48.62, 1.873, 60
71.04, 1.327, 38
85.63, 1.134, 35
86.50, 1.125, 23


Calculated X-ray powder pattern of Pr4ErTm2 for Cu Ka, from a crystal structure in Alexandria, relaxed with GGA-PBE.
Intensities are scaled so that the largest is 100.

Crystal structure
```
14
Lattice="0.000 12.196 3.237 6.010 0.000 3.237 6.010 12.196 0.000" Properties=species:S:1:pos:R:3 pbc="T T T"
Pr 6.636 1.716 3.237
Pr 3.630 4.382 1.618
Pr 2.380 7.815 1.618
Pr 5.163 8.686 3.439
Pr 9.863 14.784 5.057
Pr 6.858 15.706 3.439
Pr 5.385 22.676 3.237
Pr 8.168 21.804 5.057
Er 6.010 12.196 3.215
Er 9.016 18.294 4.834
Tm 3.296 0.818 1.977
Tm 6.301 5.280 3.595
Tm 2.715 11.378 1.977
Tm 5.720 19.112 3.595
```

The 10 most intense peaks (2θ from 15° to 90°), in order of rising 2θ:
2θ (°), d [Å], intensity
30.06, 2.973, 100
30.64, 2.918, 30
31.39, 2.850, 63
32.04, 2.793, 32
32.26, 2.775, 23
33.24, 2.696, 11
36.90, 2.436, 27
50.31, 1.814, 20
54.86, 1.673, 16
60.33, 1.534, 14


Calculated X-ray powder pattern of ErTmCuTc for Cu Ka, from a crystal structure in Alexandria, relaxed with GGA-PBE.
Intensities are scaled so that the largest is 100.

Crystal structure
```
16
Lattice="6.806 0.000 0.000 0.000 6.806 0.000 0.000 0.000 6.806" Properties=species:S:1:pos:R:3 pbc="T T T"
Er 0.000 0.000 0.000
Er 0.000 3.403 3.403
Er 3.403 0.000 3.403
Er 3.403 3.403 0.000
Tm 0.000 0.000 3.403
Tm 0.000 3.403 0.000
Tm 3.403 0.000 0.000
Tm 3.403 3.403 3.403
Cu 1.702 1.702 1.702
Cu 1.702 5.105 5.105
Cu 5.105 1.702 5.105
Cu 5.105 5.105 1.702
Tc 1.702 1.702 5.105
Tc 1.702 5.105 1.702
Tc 5.105 1.702 1.702
Tc 5.105 5.105 5.105
```

The 9 most intense peaks (2θ from 15° to 90°), in order of rising 2θ:
2θ (°), d [Å], intensity
22.63, 3.930, 1
26.19, 3.403, 13
37.37, 2.406, 100
46.20, 1.965, 4
53.88, 1.702, 17
60.87, 1.522, 6
67.41, 1.389, 35
79.69, 1.203, 11
85.63, 1.134, 3


Calculated X-ray powder pattern of LiTb2Zn3Cu12 for Cu Ka, from a crystal structure in Alexandria, relaxed with GGA-PBE.
Intensities are scaled so that the largest is 100.

Crystal structure
```
18
Lattice="3.122 1.802 8.640 -3.122 1.802 8.640 0.000 -3.605 8.640" Properties=species:S:1:pos:R:3 pbc="T T T"
Li 0.000 0.000 0.000
Tb 0.000 0.000 9.056
Tb 0.000 0.000 16.865
Zn -3.122 0.000 12.960
Zn -1.561 0.901 4.320
Zn 1.561 0.901 4.320
Cu 0.000 -2.052 6.855
Cu -1.777 1.026 6.855
Cu -1.205 -0.696 11.664
Cu -1.777 -1.026 19.066
Cu 0.000 -1.392 14.257
Cu -1.205 0.696 14.257
Cu 1.205 -0.696 11.664
Cu 0.000 1.392 11.664
Cu 1.777 1.026 6.855
Cu 1.205 0.696 14.257
Cu 1.777 -1.026 19.066
Cu 0.000 2.052 19.066
```

The 10 most intense peaks (2θ from 15° to 90°), in order of rising 2θ:
2θ (°), d [Å], intensity
30.45, 2.936, 100
33.32, 2.689, 58
35.48, 2.530, 43
35.99, 2.495, 90
38.52, 2.337, 85
43.60, 2.076, 55
44.90, 2.019, 72
55.22, 1.663, 39
57.42, 1.605, 50
59.19, 1.561, 50